(1)
This entry pairs a crystal structure of Si23He4 with its simulated PXRD pattern. Radiation: λ = 1.5418 Å (Cu Kα). Structure: a DFT-relaxed cell (PBE, Alexandria).

The 10 most intense peaks (2θ from 10° to 90°), most intense first:
| d_spacing | I_rel |
| --- | --- |
| 2.738 | 100 |
| 1.757 | 89 |
| 4.582 | 89 |
| 4.183 | 59 |
| 1.662 | 52 |
| 2.958 | 37 |
| 2.485 | 36 |
| 2.842 | 30 |
| 1.732 | 30 |
| 2.236 | 29 |

Cell and atoms:
```
Si23He4
1.0
10.245 0.000 0.000
0.000 10.245 0.000
0.000 0.000 10.245
Si He
46 8
direct
0.000 0.117 0.308 Si
0.000 0.117 0.692 Si
0.000 0.250 0.500 Si
0.000 0.750 0.500 Si
0.000 0.883 0.308 Si
0.000 0.883 0.692 Si
0.117 0.308 0.000 Si
0.117 0.692 0.000 Si
0.184 0.184 0.184 Si
0.184 0.184 0.816 Si
0.184 0.816 0.184 Si
0.184 0.816 0.816 Si
0.192 0.383 0.500 Si
0.192 0.617 0.500 Si
0.250 0.500 0.000 Si
0.308 0.000 0.117 Si
0.308 0.000 0.883 Si
0.316 0.316 0.316 Si
0.316 0.316 0.684 Si
0.316 0.684 0.316 Si
0.316 0.684 0.684 Si
0.383 0.500 0.192 Si
0.383 0.500 0.808 Si
0.500 0.000 0.250 Si
0.500 0.000 0.750 Si
0.500 0.192 0.383 Si
0.500 0.192 0.617 Si
0.500 0.808 0.383 Si
0.500 0.808 0.617 Si
0.617 0.500 0.192 Si
0.617 0.500 0.808 Si
0.684 0.316 0.316 Si
0.684 0.316 0.684 Si
0.684 0.684 0.316 Si
0.684 0.684 0.684 Si
0.692 0.000 0.117 Si
0.692 0.000 0.883 Si
0.750 0.500 0.000 Si
0.808 0.383 0.500 Si
0.808 0.617 0.500 Si
0.816 0.184 0.184 Si
0.816 0.184 0.816 Si
0.816 0.816 0.184 Si
0.816 0.816 0.816 Si
0.883 0.308 0.000 Si
0.883 0.692 0.000 Si
0.000 0.000 0.000 He
0.000 0.500 0.250 He
0.000 0.500 0.750 He
0.250 0.000 0.500 He
0.500 0.250 0.000 He
0.500 0.500 0.500 He
0.500 0.750 0.000 He
0.750 0.000 0.500 He
```



(2)
This entry pairs a crystal structure of Ba3Nb2P4O18 with its simulated PXRD pattern. Radiation: λ = 1.5418 Å (Cu Kα). Structure: a DFT-relaxed cell (PBE, Alexandria).

The 10 most intense peaks (2θ from 10° to 90°), most intense first:
| d_spacing | I_rel |
| --- | --- |
| 3.015 | 100 |
| 4.644 | 59 |
| 3.951 | 57 |
| 4.086 | 56 |
| 4.165 | 41 |
| 3.122 | 34 |
| 2.636 | 30 |
| 2.832 | 28 |
| 1.837 | 28 |
| 3.647 | 22 |

Cell and atoms:
```
Ba3Nb2P4O18
1.0
5.035 0.000 0.000
1.833 8.962 0.000
1.599 0.208 9.517
Ba Nb P O
3 2 4 18
direct
0.000 0.000 0.000 Ba
0.482 0.229 0.595 Ba
0.518 0.771 0.405 Ba
0.234 0.618 0.771 Nb
0.766 0.382 0.229 Nb
0.199 0.631 0.142 P
0.326 0.121 0.276 P
0.674 0.879 0.724 P
0.801 0.369 0.858 P
0.036 0.754 0.242 O
0.052 0.496 0.145 O
0.056 0.188 0.213 O
0.231 0.578 0.592 O
0.252 0.691 0.990 O
0.256 0.065 0.427 O
0.476 0.256 0.285 O
0.479 0.568 0.196 O
0.497 0.000 0.178 O
0.503 0.000 0.822 O
0.521 0.432 0.804 O
0.524 0.744 0.715 O
0.744 0.935 0.573 O
0.748 0.309 0.010 O
0.769 0.422 0.408 O
0.944 0.812 0.787 O
0.948 0.504 0.855 O
0.964 0.246 0.758 O
```



(3)
This entry pairs a crystal structure of ScTe2O5 with its simulated PXRD pattern. Radiation: λ = 1.5418 Å (Cu Kα). Structure: a DFT-relaxed cell (PBE, Alexandria).

The 10 most intense peaks (2θ from 10° to 90°), most intense first:
| d_spacing | I_rel |
| --- | --- |
| 3.563 | 100 |
| 3.053 | 93 |
| 3.131 | 44 |
| 2.090 | 33 |
| 1.743 | 32 |
| 2.270 | 32 |
| 2.886 | 28 |
| 3.296 | 27 |
| 1.951 | 22 |
| 5.975 | 18 |

Cell and atoms:
```
ScTe2O5
1.0
7.301 0.000 0.000
0.000 10.399 0.000
0.000 0.000 6.593
Sc Te O
4 8 20
direct
0.000 0.058 0.250 Sc
0.000 0.942 0.750 Sc
0.500 0.442 0.750 Sc
0.500 0.558 0.250 Sc
0.116 0.348 0.005 Te
0.116 0.652 0.505 Te
0.384 0.152 0.505 Te
0.384 0.848 0.005 Te
0.616 0.152 0.995 Te
0.616 0.848 0.495 Te
0.884 0.348 0.495 Te
0.884 0.652 0.995 Te
0.000 0.438 0.250 O
0.000 0.562 0.750 O
0.147 0.068 0.535 O
0.147 0.932 0.035 O
0.185 0.204 0.176 O
0.185 0.796 0.676 O
0.315 0.296 0.676 O
0.315 0.704 0.176 O
0.353 0.432 0.035 O
0.353 0.568 0.535 O
0.500 0.062 0.750 O
0.500 0.938 0.250 O
0.647 0.432 0.465 O
0.647 0.568 0.965 O
0.685 0.296 0.824 O
0.685 0.704 0.324 O
0.815 0.204 0.324 O
0.815 0.796 0.824 O
0.853 0.068 0.965 O
0.853 0.932 0.465 O
```



(4)
This entry pairs a crystal structure of ErSBrO4 with its simulated PXRD pattern. Radiation: λ = 1.5418 Å (Cu Kα). Structure: a DFT-relaxed cell (PBE, Alexandria).

The 10 most intense peaks (2θ from 10° to 90°), most intense first:
| d_spacing | I_rel |
| --- | --- |
| 3.441 | 100 |
| 2.405 | 48 |
| 2.884 | 45 |
| 6.278 | 44 |
| 2.591 | 34 |
| 4.494 | 27 |
| 4.815 | 24 |
| 2.091 | 20 |
| 1.773 | 19 |
| 2.912 | 18 |

Cell and atoms:
```
ErSBrO4
1.0
4.954 -3.439 0.000
4.954 3.439 0.000
-1.519 0.000 6.278
Er S Br O
2 2 2 8
direct
0.235 0.235 0.140 Er
0.765 0.765 0.860 Er
0.365 0.365 0.736 S
0.635 0.635 0.264 S
0.022 0.022 0.755 Br
0.978 0.978 0.245 Br
0.145 0.486 0.850 O
0.295 0.295 0.510 O
0.485 0.485 0.232 O
0.486 0.145 0.850 O
0.514 0.855 0.150 O
0.515 0.515 0.768 O
0.705 0.705 0.490 O
0.855 0.514 0.150 O
```